[1]
Starting from DFT lattice parameters and positions (GGA-PBE), the X-ray diffraction stick pattern of DyTl was simulated for Cu Kα (λ = 1.5418 Å).
Peak positions follow from Bragg's law for the DFT cell and can differ from measured ones.

The 6 most intense peaks (2θ = 5–70°), low angle first:
d [Å], Position (°2θ), intensity
3.803, 23.39, 1
2.689, 33.32, 100
1.901, 47.84, 18
1.701, 53.91, 1
1.552, 59.55, 39
1.344, 69.98, 12

Cell and atoms:
a = 3.803 Å, b = 3.803 Å, c = 3.803 Å
α = 90.00°, β = 90.00°, γ = 90.00°
Element x y z (fractional)
Dy  0.000  0.000  0.000
Tl  0.500  0.500  0.500

***

[2]
Starting from DFT lattice parameters and positions (GGA-PBE), the X-ray diffraction stick pattern of Na2SrP4O12 was simulated for Cu Kα (λ = 1.5418 Å).
Peak positions follow from Bragg's law for the DFT cell and can differ from measured ones.

The 8 most intense peaks (2θ = 5–70°), low angle first:
d [Å], Position (°2θ), intensity
4.109, 21.63, 77
3.154, 28.30, 21
2.892, 30.92, 100
2.493, 36.02, 23
2.427, 37.04, 19
1.973, 46.01, 19
1.775, 51.48, 13
1.505, 61.61, 15

Cell and atoms:
a = 9.974 Å, b = 9.974 Å, c = 5.056 Å
α = 90.00°, β = 90.00°, γ = 90.00°
Element x y z (fractional)
Na  0.000  0.000  0.000
Na  0.000  0.500  0.000
Na  0.500  0.000  0.000
Na  0.500  0.500  0.000
Sr  0.250  0.250  0.000
Sr  0.750  0.750  0.000
P  0.038  0.750  0.500
P  0.250  0.538  0.500
P  0.250  0.962  0.500
P  0.462  0.750  0.500
P  0.538  0.250  0.500
P  0.750  0.038  0.500
P  0.750  0.462  0.500
P  0.962  0.250  0.500
O  0.036  0.189  0.272
O  0.036  0.311  0.728
O  0.140  0.640  0.630
O  0.140  0.860  0.370
O  0.189  0.036  0.728
O  0.189  0.464  0.272
O  0.311  0.036  0.272
O  0.311  0.464  0.728
O  0.360  0.640  0.370
O  0.360  0.860  0.630
O  0.464  0.189  0.728
O  0.464  0.311  0.272
O  0.536  0.689  0.728
O  0.536  0.811  0.272
O  0.640  0.140  0.370
O  0.640  0.360  0.630
O  0.689  0.536  0.272
O  0.689  0.964  0.728
O  0.811  0.536  0.728
O  0.811  0.964  0.272
O  0.860  0.140  0.630
O  0.860  0.360  0.370
O  0.964  0.689  0.272
O  0.964  0.811  0.728

***

[3]
Starting from DFT lattice parameters and positions (GGA-PBE), the X-ray diffraction stick pattern of LiCuPO4 was simulated for Cu Kα (λ = 1.5418 Å).
Peak positions follow from Bragg's law for the DFT cell and can differ from measured ones.

The 8 most intense peaks (2θ = 5–70°), low angle first:
d [Å], Position (°2θ), intensity
7.035, 12.58, 100
3.282, 27.17, 42
2.854, 31.35, 26
2.729, 32.82, 25
2.599, 34.51, 19
2.544, 35.27, 29
2.237, 40.32, 20
1.566, 58.98, 13

Cell and atoms:
a = 5.876 Å, b = 7.371 Å, c = 14.070 Å
α = 90.00°, β = 90.00°, γ = 90.00°
Element x y z (fractional)
Li  0.157  0.197  0.217
Li  0.157  0.303  0.717
Li  0.343  0.697  0.217
Li  0.343  0.803  0.717
Li  0.657  0.197  0.283
Li  0.657  0.303  0.783
Li  0.843  0.697  0.283
Li  0.843  0.803  0.783
Cu  0.121  0.681  0.531
Cu  0.121  0.819  0.031
Cu  0.379  0.181  0.531
Cu  0.379  0.319  0.031
Cu  0.621  0.681  0.969
Cu  0.621  0.819  0.469
Cu  0.879  0.181  0.969
Cu  0.879  0.319  0.469
P  0.095  0.532  0.874
P  0.095  0.968  0.374
P  0.405  0.032  0.874
P  0.405  0.468  0.374
P  0.595  0.532  0.626
P  0.595  0.968  0.126
P  0.905  0.032  0.626
P  0.905  0.468  0.126
O  0.042  0.648  0.132
O  0.042  0.852  0.632
O  0.058  0.186  0.579
O  0.058  0.314  0.079
O  0.155  0.591  0.774
O  0.155  0.909  0.274
O  0.187  0.009  0.938
O  0.187  0.491  0.438
O  0.313  0.509  0.938
O  0.313  0.991  0.438
O  0.345  0.091  0.774
O  0.345  0.409  0.274
O  0.442  0.686  0.579
O  0.442  0.814  0.079
O  0.458  0.148  0.132
O  0.458  0.352  0.632
O  0.542  0.648  0.368
O  0.542  0.852  0.868
O  0.558  0.186  0.921
O  0.558  0.314  0.421
O  0.655  0.591  0.726
O  0.655  0.909  0.226
O  0.687  0.009  0.562
O  0.687  0.491  0.062
O  0.813  0.509  0.562
O  0.813  0.991  0.062
O  0.845  0.091  0.726
O  0.845  0.409  0.226
O  0.942  0.686  0.921
O  0.942  0.814  0.421
O  0.958  0.148  0.368
O  0.958  0.352  0.868

***

[4]
Starting from DFT lattice parameters and positions (GGA-PBE), the X-ray diffraction stick pattern of PaO2 was simulated for Cu Kα (λ = 1.5418 Å).
Peak positions follow from Bragg's law for the DFT cell and can differ from measured ones.

The 8 most intense peaks (2θ = 5–70°), low angle first:
d [Å], Position (°2θ), intensity
3.671, 24.24, 99
2.982, 29.97, 100
2.596, 34.55, 31
1.958, 46.38, 75
1.836, 49.67, 16
1.642, 56.01, 19
1.632, 56.40, 20
1.563, 59.10, 21

Cell and atoms:
a = 5.192 Å, b = 5.192 Å, c = 3.643 Å
α = 90.00°, β = 90.00°, γ = 90.00°
Element x y z (fractional)
Pa  0.000  0.000  0.000
Pa  0.500  0.500  0.500
O  0.191  0.191  0.500
O  0.309  0.691  0.000
O  0.691  0.309  0.000
O  0.809  0.809  0.500

***

[5]
Starting from DFT lattice parameters and positions (GGA-PBE), the X-ray diffraction stick pattern of SmY3 was simulated for Cu Kα (λ = 1.5418 Å).
Peak positions follow from Bragg's law for the DFT cell and can differ from measured ones.

The 8 most intense peaks (2θ = 5–70°), low angle first:
d [Å], Position (°2θ), intensity
3.168, 28.17, 24
2.874, 31.12, 24
2.775, 32.26, 100
2.129, 42.47, 15
1.829, 49.85, 19
1.639, 56.10, 20
1.543, 59.94, 22
1.527, 60.63, 16

Cell and atoms:
a = 7.317 Å, b = 7.317 Å, c = 5.748 Å
α = 90.00°, β = 90.00°, γ = 120.00°
Element x y z (fractional)
Sm  0.333  0.667  0.250
Sm  0.667  0.333  0.750
Y  0.166  0.333  0.750
Y  0.166  0.834  0.750
Y  0.333  0.166  0.250
Y  0.667  0.834  0.750
Y  0.834  0.166  0.250
Y  0.834  0.667  0.250

***

[6]
Starting from DFT lattice parameters and positions (GGA-PBE), the X-ray diffraction stick pattern of TbNi was simulated for Cu Kα (λ = 1.5418 Å).
Peak positions follow from Bragg's law for the DFT cell and can differ from measured ones.

The 8 most intense peaks (2θ = 5–70°), low angle first:
d [Å], Position (°2θ), intensity
3.099, 28.81, 35
2.699, 33.20, 100
2.541, 35.32, 47
2.529, 35.49, 44
2.508, 35.80, 38
2.176, 41.50, 38
2.168, 41.66, 42
2.105, 42.96, 54

Cell and atoms:
a = 5.436 Å, b = 4.211 Å, c = 21.249 Å
α = 90.00°, β = 96.94°, γ = 90.00°
Element x y z (fractional)
Tb  0.000  0.250  0.227
Tb  0.000  0.750  0.773
Tb  0.163  0.250  0.060
Tb  0.166  0.250  0.560
Tb  0.311  0.250  0.394
Tb  0.324  0.250  0.893
Tb  0.479  0.250  0.727
Tb  0.521  0.750  0.273
Tb  0.676  0.750  0.107
Tb  0.689  0.750  0.606
Tb  0.834  0.750  0.440
Tb  0.837  0.750  0.940
Ni  0.036  0.750  0.321
Ni  0.206  0.750  0.154
Ni  0.206  0.750  0.654
Ni  0.366  0.750  0.488
Ni  0.367  0.750  0.988
Ni  0.470  0.250  0.179
Ni  0.530  0.750  0.821
Ni  0.633  0.250  0.012
Ni  0.634  0.250  0.512
Ni  0.794  0.250  0.346
Ni  0.794  0.250  0.846
Ni  0.964  0.250  0.679

***

[7]
Starting from DFT lattice parameters and positions (GGA-PBE), the X-ray diffraction stick pattern of RbLiCu2H3S2O10 was simulated for Cu Kα (λ = 1.5418 Å).
Peak positions follow from Bragg's law for the DFT cell and can differ from measured ones.

The 8 most intense peaks (2θ = 5–70°), low angle first:
d [Å], Position (°2θ), intensity
7.579, 11.68, 21
4.997, 17.75, 29
4.545, 19.53, 38
3.580, 24.87, 73
3.081, 28.98, 100
2.767, 32.36, 43
2.708, 33.09, 44
2.499, 35.94, 30

Cell and atoms:
a = 5.678 Å, b = 5.683 Å, c = 8.336 Å
α = 99.17°, β = 108.68°, γ = 107.20°
Element x y z (fractional)
Rb  0.000  0.000  0.000
Li  0.463  0.464  0.003
Cu  0.096  0.100  0.514
Cu  0.575  0.598  0.482
H  0.587  0.117  0.508
H  0.604  0.310  0.685
H  0.623  0.927  0.320
S  0.295  0.671  0.773
S  0.901  0.524  0.229
O  0.055  0.805  0.304
O  0.059  0.377  0.308
O  0.067  0.746  0.694
O  0.204  0.382  0.751
O  0.426  0.789  0.969
O  0.501  0.751  0.697
O  0.505  0.253  0.557
O  0.635  0.453  0.253
O  0.697  0.952  0.447
O  0.821  0.457  0.033

***

[8]
Starting from DFT lattice parameters and positions (GGA-PBE), the X-ray diffraction stick pattern of Cr2CoS4 was simulated for Cu Kα (λ = 1.5418 Å).
Peak positions follow from Bragg's law for the DFT cell and can differ from measured ones.

The 8 most intense peaks (2θ = 5–70°), low angle first:
d [Å], Position (°2θ), intensity
3.458, 25.77, 33
2.949, 30.31, 100
2.445, 36.76, 49
1.996, 45.43, 13
1.882, 48.36, 41
1.729, 52.96, 89
1.491, 62.25, 11
1.412, 66.20, 9

Cell and atoms:
a = 6.916 Å, b = 6.916 Å, c = 6.916 Å
α = 60.00°, β = 60.00°, γ = 60.00°
Element x y z (fractional)
Cr  0.000  0.000  0.000
Cr  0.000  0.000  0.500
Cr  0.000  0.500  0.000
Cr  0.500  0.000  0.000
Co  0.375  0.375  0.375
Co  0.625  0.625  0.625
S  0.232  0.756  0.756
S  0.244  0.244  0.244
S  0.244  0.244  0.768
S  0.244  0.768  0.244
S  0.756  0.232  0.756
S  0.756  0.756  0.232
S  0.756  0.756  0.756
S  0.768  0.244  0.244

***

What did the seventh record say?
Starting from DFT lattice parameters and positions (GGA-PBE), the X-ray diffraction stick pattern of RbLiCu2H3S2O10 was simulated for Cu Kα (λ = 1.5418 Å).
Peak positions follow from Bragg's law for the DFT cell and can differ from measured ones.

The 8 most intense peaks (2θ = 5–70°), low angle first:
d [Å], Position (°2θ), intensity
7.579, 11.68, 21
4.997, 17.75, 29
4.545, 19.53, 38
3.580, 24.87, 73
3.081, 28.98, 100
2.767, 32.36, 43
2.708, 33.09, 44
2.499, 35.94, 30

Cell and atoms:
a = 5.678 Å, b = 5.683 Å, c = 8.336 Å
α = 99.17°, β = 108.68°, γ = 107.20°
Element x y z (fractional)
Rb  0.000  0.000  0.000
Li  0.463  0.464  0.003
Cu  0.096  0.100  0.514
Cu  0.575  0.598  0.482
H  0.587  0.117  0.508
H  0.604  0.310  0.685
H  0.623  0.927  0.320
S  0.295  0.671  0.773
S  0.901  0.524  0.229
O  0.055  0.805  0.304
O  0.059  0.377  0.308
O  0.067  0.746  0.694
O  0.204  0.382  0.751
O  0.426  0.789  0.969
O  0.501  0.751  0.697
O  0.505  0.253  0.557
O  0.635  0.453  0.253
O  0.697  0.952  0.447
O  0.821  0.457  0.033